NdMnP2Ru: computed PXRD pattern (λ = 1.5418 Å (Cu Kα)), based on a crystal structure in Alexandria, relaxed with GGA-PBE.

Cell and atoms:
a b c (Å): 4.026 4.026 9.918
angles (deg): 90.00 90.00 90.00
Space group I-4m2 (No. 119)
Inequivalent atoms, fractional coordinates:
Nd1 0.000 0.000 0.000
Mn1 0.000 0.500 0.750
P1 0.000 0.000 0.362
Ru1 0.000 0.500 0.250

Top 10 peaks for 10 to 90 degrees two-theta, most intense first:
index	2θ/deg	I (rel.)
1 1 2	36.39	100.0
1 0 3	35.12	52.5
1 0 1	23.85	44.0
2 0 0	45.03	41.5
3 1 2	77.35	28.6
2 1 3	58.35	23.7
1 1 6	65.27	22.3
0 0 4	36.23	17.8
2 0 4	59.11	16.9
2 2 0	65.58	13.1


NdMnZnPt3: computed PXRD pattern (λ = 1.5418 Å (Cu Kα)), based on a crystal structure in Alexandria, relaxed with GGA-PBE.

Cell and atoms:
a b c (Å): 5.669 16.394 5.624
angles (deg): 90.00 90.00 90.00
Space group Cmcm (No. 63)
Inequivalent atoms, fractional coordinates:
Nd1 0.000 0.198 0.250
Mn1 0.000 0.406 0.750
Zn1 0.000 0.100 0.750
Pt1 0.000 0.253 0.750
Pt2 0.245 0.000 0.000

Top 10 peaks for 10 to 90 degrees two-theta, most intense first:
index	2θ/deg	I (rel.)
2 2 0	33.45	100.0
0 2 2	33.70	98.3
0 4 0	21.68	93.3
2 0 2	45.43	75.7
2 4 2	50.88	40.1
2 6 0	46.14	39.1
0 6 2	46.33	38.7
1 7 1	44.87	33.7
0 2 0	10.79	24.0
1 1 1	22.93	20.4